Entry 1:
This entry pairs a crystal structure of Rb2VI5Br with its theoretical powder diffractogram. Radiation: a wavelength of 1.5418 Å. Structure: a PBE-relaxed structure.

Top 6 peaks for 2θ from 15° to 90°, low angle first:
2θ/deg  Rel. int.  (hkl)
27.23  100  2 0 2
29.94  48  2 2 0
34.54  17  0 0 4
42.86  17  4 0 0
46.35  28  2 2 4
51.52  30  4 2 2

Structure:
a b c (Å): 8.4404 8.4404 10.3862
angles (deg): 90.00 90.00 90.00
Space group I4mm (No. 107)
Unique sites:
Rb: 0.0000 0.5000 0.0000 (multiplicity 4)
V: 0.0000 0.0000 0.2531 (multiplicity 2)
I: 0.0000 0.0000 0.9971 (multiplicity 2)
I: 0.2334 0.2334 0.2508 (multiplicity 8)
Br: 0.0000 0.0000 0.4862 (multiplicity 2)

***

Entry 2:
This entry pairs a crystal structure of RuIBr6 with its theoretical powder diffractogram. Radiation: a wavelength of 1.5418 Å. Structure: a PBE-relaxed structure.

Top 6 peaks for 2θ from 15° to 90°, low angle first:
2θ/deg  Rel. int.  (hkl)
15.32  76  1 1 1
18.20  59  2 0 -2
25.46  100  3 1 -2
27.02  51  2 2 1
31.47  62  1 3 0
34.34  54  1 1 4

Structure:
a b c (Å): 12.6835 8.7647 12.1517
angles (deg): 90.00 103.36 90.00
Space group C2/c (No. 15)
Unique sites:
Ru: 0.2500 0.2500 0.0000 (multiplicity 4)
I: 0.0000 0.0120 0.7500 (multiplicity 4)
Br: 0.0957 0.3449 0.0697 (multiplicity 8)
Br: 0.1522 0.0055 0.4487 (multiplicity 8)
Br: 0.1708 0.3584 0.8133 (multiplicity 8)

***

Entry 3:
This entry pairs a crystal structure of RuI2Br5 with its theoretical powder diffractogram. Radiation: a wavelength of 1.5418 Å. Structure: a PBE-relaxed structure.

Top 6 peaks for 2θ from 15° to 90°, low angle first:
2θ/deg  Rel. int.  (hkl)
16.09  100  0 2 1
17.32  40  1 1 0
18.15  39  1 1 -1
22.71  45  0 0 2
22.95  49  0 4 0
25.49  37  0 2 2

Structure:
a b c (Å): 5.6306 15.5023 8.1259
angles (deg): 90.00 105.50 90.00
Space group Cm (No. 8)
Unique sites:
Ru: 0.0000 0.0000 0.0000 (multiplicity 2)
I: 0.0079 0.2236 0.4920 (multiplicity 4)
Br: 0.0670 0.1545 0.9938 (multiplicity 4)
Br: 0.1358 0.5000 0.0961 (multiplicity 2)
Br: 0.2678 0.0000 0.3011 (multiplicity 2)
Br: 0.3206 0.5000 0.6940 (multiplicity 2)

***

Repeat the first record exactly.
This entry pairs a crystal structure of Rb2VI5Br with its theoretical powder diffractogram. Radiation: a wavelength of 1.5418 Å. Structure: a PBE-relaxed structure.

Top 6 peaks for 2θ from 15° to 90°, low angle first:
2θ/deg  Rel. int.  (hkl)
27.23  100  2 0 2
29.94  48  2 2 0
34.54  17  0 0 4
42.86  17  4 0 0
46.35  28  2 2 4
51.52  30  4 2 2

Structure:
a b c (Å): 8.4404 8.4404 10.3862
angles (deg): 90.00 90.00 90.00
Space group I4mm (No. 107)
Unique sites:
Rb: 0.0000 0.5000 0.0000 (multiplicity 4)
V: 0.0000 0.0000 0.2531 (multiplicity 2)
I: 0.0000 0.0000 0.9971 (multiplicity 2)
I: 0.2334 0.2334 0.2508 (multiplicity 8)
Br: 0.0000 0.0000 0.4862 (multiplicity 2)

***

Copy entry 3 word for word.
This entry pairs a crystal structure of RuI2Br5 with its theoretical powder diffractogram. Radiation: a wavelength of 1.5418 Å. Structure: a PBE-relaxed structure.

Top 6 peaks for 2θ from 15° to 90°, low angle first:
2θ/deg  Rel. int.  (hkl)
16.09  100  0 2 1
17.32  40  1 1 0
18.15  39  1 1 -1
22.71  45  0 0 2
22.95  49  0 4 0
25.49  37  0 2 2

Structure:
a b c (Å): 5.6306 15.5023 8.1259
angles (deg): 90.00 105.50 90.00
Space group Cm (No. 8)
Unique sites:
Ru: 0.0000 0.0000 0.0000 (multiplicity 2)
I: 0.0079 0.2236 0.4920 (multiplicity 4)
Br: 0.0670 0.1545 0.9938 (multiplicity 4)
Br: 0.1358 0.5000 0.0961 (multiplicity 2)
Br: 0.2678 0.0000 0.3011 (multiplicity 2)
Br: 0.3206 0.5000 0.6940 (multiplicity 2)

***

Please write out number 2 again, unchanged.
This entry pairs a crystal structure of RuIBr6 with its theoretical powder diffractogram. Radiation: a wavelength of 1.5418 Å. Structure: a PBE-relaxed structure.

Top 6 peaks for 2θ from 15° to 90°, low angle first:
2θ/deg  Rel. int.  (hkl)
15.32  76  1 1 1
18.20  59  2 0 -2
25.46  100  3 1 -2
27.02  51  2 2 1
31.47  62  1 3 0
34.34  54  1 1 4

Structure:
a b c (Å): 12.6835 8.7647 12.1517
angles (deg): 90.00 103.36 90.00
Space group C2/c (No. 15)
Unique sites:
Ru: 0.2500 0.2500 0.0000 (multiplicity 4)
I: 0.0000 0.0120 0.7500 (multiplicity 4)
Br: 0.0957 0.3449 0.0697 (multiplicity 8)
Br: 0.1522 0.0055 0.4487 (multiplicity 8)
Br: 0.1708 0.3584 0.8133 (multiplicity 8)